[1]
This entry pairs a crystal structure of Ti3GaIr3 with its theoretical XRD peak list. Radiation: λ = 1.5418 Å (Cu Kα). Structure: a PBE-relaxed structure.

Atomic structure:
a = 7.658 Å, b = 7.658 Å, c = 7.658 Å
α = 90.00°, β = 90.00°, γ = 90.00°
Element x y z (fractional)
Ti 0.117 0.383 0.617
Ti 0.142 0.858 0.358
Ti 0.224 0.224 0.224
Ti 0.276 0.776 0.724
Ti 0.358 0.142 0.858
Ti 0.383 0.617 0.117
Ti 0.617 0.117 0.383
Ti 0.642 0.642 0.642
Ti 0.724 0.276 0.776
Ti 0.776 0.724 0.276
Ti 0.858 0.358 0.142
Ti 0.883 0.883 0.883
Ga 0.061 0.561 0.939
Ga 0.439 0.439 0.439
Ga 0.561 0.939 0.061
Ga 0.939 0.061 0.561
Ir 0.028 0.201 0.899
Ir 0.101 0.528 0.299
Ir 0.201 0.899 0.028
Ir 0.299 0.101 0.528
Ir 0.399 0.472 0.799
Ir 0.472 0.799 0.399
Ir 0.528 0.299 0.101
Ir 0.601 0.972 0.701
Ir 0.701 0.601 0.972
Ir 0.799 0.399 0.472
Ir 0.899 0.028 0.201
Ir 0.972 0.701 0.601

The 10 most intense peaks (5° ≤ 2θ ≤ 70°), by intensity:
2theta, I_rel
28.55, 100
37.12, 82
42.56, 60
44.25, 50
39.01, 30
49.04, 27
53.51, 21
50.56, 19
54.94, 17
20.08, 15

[2]
This entry pairs a crystal structure of CsRb2Tl2 with its theoretical XRD peak list. Radiation: λ = 1.5418 Å (Cu Kα). Structure: a PBE-relaxed structure.

Atomic structure:
a = 7.450 Å, b = 7.450 Å, c = 11.692 Å
α = 104.08°, β = 104.08°, γ = 59.64°
Element x y z (fractional)
Cs 0.192 0.808 0.750
Cs 0.808 0.192 0.250
Rb 0.176 0.530 0.354
Rb 0.470 0.824 0.146
Rb 0.530 0.176 0.854
Rb 0.824 0.470 0.646
Tl 0.003 0.691 0.001
Tl 0.309 0.997 0.499
Tl 0.691 0.003 0.501
Tl 0.997 0.309 0.999

The 10 most intense peaks (5° ≤ 2θ ≤ 70°), by intensity:
2theta, I_rel
25.84, 100
30.29, 40
16.98, 39
28.73, 32
24.00, 30
36.87, 30
28.04, 28
24.18, 25
43.40, 22
48.00, 20

[3]
This entry pairs a crystal structure of Nd5Sm5Cd2 with its theoretical XRD peak list. Radiation: λ = 1.5418 Å (Cu Kα). Structure: a PBE-relaxed structure.

Atomic structure:
a = 6.790 Å, b = 6.790 Å, c = 11.318 Å
α = 90.09°, β = 90.09°, γ = 48.39°
Element x y z (fractional)
Nd 0.000 0.000 0.000
Nd 0.320 0.320 0.534
Nd 0.480 0.480 0.249
Nd 0.520 0.520 0.751
Nd 0.680 0.680 0.466
Sm 0.000 0.000 0.500
Sm 0.183 0.183 0.249
Sm 0.319 0.319 0.965
Sm 0.681 0.681 0.035
Sm 0.817 0.817 0.751
Cd 0.149 0.149 0.750
Cd 0.851 0.851 0.250

The 10 most intense peaks (5° ≤ 2θ ≤ 70°), by intensity:
2theta, I_rel
31.26, 100
32.16, 27
31.62, 22
56.78, 18
45.73, 16
56.09, 12
29.50, 9
55.42, 8
43.86, 8
60.08, 7

[4]
This entry pairs a crystal structure of K3Hg4Pd with its theoretical XRD peak list. Radiation: λ = 1.5418 Å (Cu Kα). Structure: a PBE-relaxed structure.

Atomic structure:
a = 6.223 Å, b = 8.495 Å, c = 10.250 Å
α = 90.00°, β = 90.00°, γ = 90.00°
Element x y z (fractional)
K 0.000 0.000 0.000
K 0.000 0.217 0.613
K 0.000 0.783 0.613
K 0.500 0.283 0.113
K 0.500 0.500 0.500
K 0.500 0.717 0.113
Hg 0.000 0.319 0.285
Hg 0.000 0.681 0.285
Hg 0.246 0.500 0.835
Hg 0.254 0.000 0.335
Hg 0.500 0.181 0.785
Hg 0.500 0.819 0.785
Hg 0.746 0.000 0.335
Hg 0.754 0.500 0.835
Pd 0.000 0.500 0.061
Pd 0.500 0.000 0.561

The 10 most intense peaks (5° ≤ 2θ ≤ 70°), by intensity:
2theta, I_rel
31.85, 100
17.30, 93
16.67, 91
32.81, 82
40.00, 79
13.54, 78
26.86, 43
39.12, 39
40.63, 38
29.83, 37